The following is a calculated PXRD pattern of K2CO3. It was derived from a crystal structure in the Materials Project, relaxed with GGA-PBE, using Cu Ka.

Most intense lines, 5 to 70 degrees two-theta, in order of rising 2θ:
Position (°2θ), d/Å, I_rel
25.55, 3.486, 41
29.55, 3.023, 54
30.97, 2.887, 100
31.21, 2.866, 73
31.57, 2.834, 50
33.18, 2.700, 81
37.14, 2.421, 32
38.01, 2.367, 25
42.25, 2.139, 42
44.40, 2.040, 32

Crystal structure
```
data_K2CO3
_space_group_name_H-M_alt 'C 1 2/c 1'
_space_group_IT_number 15
_cell_length_a 5.7223
_cell_length_b 10.0663
_cell_length_c 7.0385
_cell_angle_alpha 90.00
_cell_angle_beta 97.88
_cell_angle_gamma 90.00
loop_
_space_group_symop_operation_xyz
'x,y,z'
'-x,-y,-z'
'-x,y,-z+1/2'
'x,-y,z+1/2'
'x+1/2,y+1/2,z'
'-x+1/2,-y+1/2,-z'
'-x+1/2,y+1/2,-z+1/2'
'x+1/2,-y+1/2,z+1/2'
loop_
_atom_site_label
_atom_site_type_symbol
_atom_site_fract_x
_atom_site_fract_y
_atom_site_fract_z
K1 K 0.0000 0.0000 0.0000
K2 K 0.0000 0.3335 0.2500
C1 C 0.0000 0.3318 0.7500
O1 O 0.0000 0.2021 0.7500
O2 O 0.1823 0.3964 0.7048
```

***

The following is a calculated PXRD pattern of Sc2AlSi2. It was derived from a crystal structure in the Materials Project, relaxed with GGA-PBE, using Cu Ka.

Most intense lines, 5 to 70 degrees two-theta, in order of rising 2θ:
Position (°2θ), d/Å, I_rel
19.00, 4.670, 6
35.23, 2.548, 35
37.85, 2.377, 100
38.55, 2.335, 7
43.32, 2.089, 28
45.29, 2.002, 20
57.53, 1.602, 7
62.44, 1.487, 11
64.19, 1.451, 6
64.47, 1.445, 16

Crystal structure
```
data_Sc2AlSi2
_space_group_name_H-M_alt 'P 4/m b m'
_space_group_IT_number 127
_space_group_name_Hall '-P 4 2ab'
_cell_length_a 6.6050
_cell_length_b 6.6050
_cell_length_c 4.0045
_cell_angle_alpha 90.00
_cell_angle_beta 90.00
_cell_angle_gamma 90.00
loop_
_atom_site_label
_atom_site_type_symbol
_atom_site_fract_x
_atom_site_fract_y
_atom_site_fract_z
Sc1 Sc 0.1755 0.3245 0.0000
Al1 Al 0.0000 0.0000 0.5000
Si1 Si 0.1262 0.6262 0.5000
```

***

The following is a calculated PXRD pattern of Mg16Al12Cl. It was derived from a crystal structure in the Materials Project, relaxed with GGA-PBE, using Cu Ka.

Most intense lines, 5 to 70 degrees two-theta, in order of rising 2θ:
Position (°2θ), d/Å, I_rel
31.63, 2.829, 10
33.88, 2.646, 20
36.00, 2.495, 100
39.95, 2.256, 42
41.81, 2.160, 14
43.61, 2.076, 28
62.00, 1.497, 14
64.72, 1.440, 19
66.06, 1.414, 13
67.38, 1.390, 10

Crystal structure
```
data_Mg16Al12Cl
_space_group_name_H-M_alt 'I -4 3 m'
_space_group_IT_number 217
_space_group_name_Hall 'I -4 2 3'
_cell_length_a 10.5838
_cell_length_b 10.5838
_cell_length_c 10.5838
_cell_angle_alpha 90.00
_cell_angle_beta 90.00
_cell_angle_gamma 90.00
loop_
_atom_site_label
_atom_site_type_symbol
_atom_site_fract_x
_atom_site_fract_y
_atom_site_fract_z
Mg1 Mg 0.0515 0.3601 0.6399
Mg2 Mg 0.1501 0.1501 0.1501
Al1 Al 0.0954 0.0954 0.7152
Cl1 Cl 0.0000 0.0000 0.0000
```

***

The following is a calculated PXRD pattern of Ho2CN2O2. It was derived from a crystal structure in the Materials Project, relaxed with GGA-PBE, using Cu Ka.

Most intense lines, 5 to 70 degrees two-theta, in order of rising 2θ:
Position (°2θ), d/Å, I_rel
10.81, 8.181, 52
21.73, 4.090, 18
27.74, 3.215, 17
29.86, 2.993, 100
32.84, 2.727, 19
35.51, 2.528, 45
43.51, 2.080, 20
49.07, 1.856, 28
53.07, 1.726, 25
60.31, 1.535, 20

Crystal structure
```
data_Ho2CN2O2
_space_group_name_H-M_alt 'P -3 m 1'
_space_group_IT_number 164
_space_group_name_Hall '-P 3 2"'
_cell_length_a 3.7129
_cell_length_b 3.7129
_cell_length_c 8.1810
_cell_angle_alpha 90.00
_cell_angle_beta 90.00
_cell_angle_gamma 120.00
loop_
_atom_site_label
_atom_site_type_symbol
_atom_site_fract_x
_atom_site_fract_y
_atom_site_fract_z
Ho1 Ho 0.3333 0.6667 0.3234
C1 C 0.0000 0.0000 0.0000
N1 N 0.0000 0.0000 0.1511
O1 O 0.3333 0.6667 0.6028
```

***

The following is a calculated PXRD pattern of BaYCuAgO5. It was derived from a crystal structure in the Materials Project, relaxed with GGA-PBE, using Cu Ka.

Most intense lines, 5 to 70 degrees two-theta, in order of rising 2θ:
Position (°2θ), d/Å, I_rel
24.97, 3.566, 7
31.71, 2.822, 100
33.55, 2.671, 5
45.27, 2.003, 5
45.56, 1.991, 21
46.88, 1.938, 4
56.37, 1.632, 13
56.55, 1.627, 26
66.17, 1.412, 6
66.40, 1.408, 6

Crystal structure
```
data_BaYCuAgO5
_space_group_name_H-M_alt 'P 4 m m'
_space_group_IT_number 99
_cell_length_a 3.9823
_cell_length_b 3.9823
_cell_length_c 8.0124
_cell_angle_alpha 90.00
_cell_angle_beta 90.00
_cell_angle_gamma 90.00
loop_
_space_group_symop_operation_xyz
'x,y,z'
'-y,x,z'
'-x,-y,z'
'y,-x,z'
'-x,y,z'
'y,x,z'
'x,-y,z'
'-y,-x,z'
loop_
_atom_site_label
_atom_site_type_symbol
_atom_site_fract_x
_atom_site_fract_y
_atom_site_fract_z
Ba1 Ba 0.0000 0.0000 0.0000
Y1 Y 0.0000 0.0000 0.4579
Cu1 Cu 0.5000 0.5000 0.2396
Ag1 Ag 0.5000 0.5000 0.6972
O1 O 0.0000 0.5000 0.2810
O2 O 0.0000 0.5000 0.6279
O3 O 0.5000 0.5000 0.9877
```

***

The following is a calculated PXRD pattern of Sm4Tm4MgO12. It was derived from a crystal structure in the Materials Project, relaxed with GGA-PBE, using Cu Ka.

Most intense lines, 5 to 70 degrees two-theta, in order of rising 2θ:
Position (°2θ), d/Å, I_rel
29.07, 3.072, 30
29.78, 3.000, 100
30.20, 2.960, 87
31.02, 2.883, 55
42.42, 2.131, 14
42.81, 2.112, 25
43.63, 2.075, 19
52.54, 1.742, 24
53.81, 1.704, 20
54.17, 1.693, 20

Crystal structure
```
data_Sm4Tm4MgO12
_space_group_name_H-M_alt 'P 1 m 1'
_space_group_IT_number 6
_cell_length_a 5.7655
_cell_length_b 8.4489
_cell_length_c 6.1467
_cell_angle_alpha 90.00
_cell_angle_beta 91.56
_cell_angle_gamma 90.00
loop_
_space_group_symop_operation_xyz
'x,y,z'
'x,-y,z'
loop_
_atom_site_label
_atom_site_type_symbol
_atom_site_fract_x
_atom_site_fract_y
_atom_site_fract_z
Sm1 Sm 0.0000 0.0000 0.0000
Sm2 Sm 0.0852 0.5000 0.8680
Sm3 Sm 0.5338 0.5000 0.3801
Sm4 Sm 0.6255 0.0000 0.5970
Tm1 Tm 0.0625 0.2501 0.4312
Tm2 Tm 0.5694 0.2729 0.9292
Mg1 Mg 0.4926 0.0000 0.1773
O1 O 0.2145 0.0000 0.3639
O2 O 0.2676 0.3292 0.1359
O3 O 0.3647 0.0000 0.8787
O4 O 0.3721 0.3286 0.6313
O5 O 0.7183 0.5000 0.0116
O6 O 0.7324 0.1716 0.2495
O7 O 0.8900 0.2047 0.7470
O8 O 0.9247 0.5000 0.4918
```

***

The following is a calculated PXRD pattern of BaSrI4. It was derived from a crystal structure in the Materials Project, relaxed with GGA-PBE, using Cu Ka.

Most intense lines, 5 to 70 degrees two-theta, in order of rising 2θ:
Position (°2θ), d/Å, I_rel
15.76, 5.622, 47
23.44, 3.796, 100
25.04, 3.556, 37
30.56, 2.925, 61
31.85, 2.810, 31
34.86, 2.574, 22
38.20, 2.356, 55
43.40, 2.085, 16
47.93, 1.898, 19
65.83, 1.419, 19

Crystal structure
```
data_BaSrI4
_space_group_name_H-M_alt 'P n m a'
_space_group_IT_number 62
_cell_length_a 10.2941
_cell_length_b 11.2523
_cell_length_c 11.2314
_cell_angle_alpha 90.00
_cell_angle_beta 90.00
_cell_angle_gamma 90.00
loop_
_space_group_symop_operation_xyz
'x,y,z'
'-x,-y,-z'
'-x+1/2,-y,z+1/2'
'x+1/2,y,-z+1/2'
'x+1/2,-y+1/2,-z+1/2'
'-x+1/2,y+1/2,z+1/2'
'-x,y+1/2,-z'
'x,-y+1/2,z'
loop_
_atom_site_label
_atom_site_type_symbol
_atom_site_fract_x
_atom_site_fract_y
_atom_site_fract_z
Ba1 Ba 0.0018 0.2500 0.2446
Sr1 Sr 0.2398 0.7500 0.2503
I1 I 0.0096 0.0612 0.7433
I2 I 0.2443 0.7500 0.5453
I3 I 0.2483 0.2500 0.4550
```